Diffraction record for YCo5As3. The PXRD pattern is theoretical, not measured: it uses DFT lattice parameters and positions (GGA-PBE) and a wavelength of 1.5418 Å.
Peak positions follow from Bragg's law for the DFT cell and can differ from measured ones.

```
36
Lattice="12.211 0.000 0.000 0.000 3.783 0.000 0.000 0.000 10.734" Properties=species:S:1:pos:R:3 pbc="T T T"
Y 2.473 0.946 0.874
Y 3.632 2.837 6.241
Y 8.579 0.946 4.493
Y 9.738 2.837 9.860
Co 0.110 2.837 7.648
Co 0.152 2.837 0.999
Co 0.838 2.837 5.032
Co 2.157 0.946 8.407
Co 2.405 0.946 4.107
Co 3.700 2.837 9.474
Co 3.948 2.837 3.040
Co 5.267 0.946 10.398
Co 5.954 0.946 6.365
Co 5.995 0.946 2.281
Co 6.216 2.837 8.453
Co 6.257 2.837 4.368
Co 6.944 2.837 0.335
Co 8.263 0.946 7.694
Co 8.510 0.946 1.260
Co 9.806 2.837 6.627
Co 10.054 2.837 2.327
Co 11.373 0.946 5.702
Co 12.059 0.946 9.735
Co 12.100 0.946 3.086
As 1.335 2.837 9.648
As 1.382 0.946 6.272
As 1.580 2.837 2.885
As 4.526 0.946 8.252
As 4.723 2.837 0.906
As 4.771 0.946 4.282
As 7.440 2.837 6.452
As 7.488 0.946 9.828
As 7.685 2.837 2.482
As 10.631 0.946 7.848
As 10.829 2.837 4.461
As 10.876 0.946 1.085
```

The 10 most intense peaks (10° ≤ 2θ ≤ 80°), sorted by position:
| two_theta | I (rel.) | (hkl) |
| --- | --- | --- |
| 36.50 | 33 | 3 1 2 |
| 37.61 | 100 | 2 1 3 |
| 37.86 | 66 | 4 1 0 |
| 38.81 | 40 | 4 0 3 |
| 41.94 | 20 | 1 1 4 |
| 47.44 | 38 | 5 1 2 |
| 48.10 | 64 | 0 2 0 |
| 51.67 | 45 | 6 0 3 |
| 54.04 | 22 | 3 1 5 |
| 73.27 | 30 | 6 2 3 |